Starting from the PBE geometry in the Materials Project, the powder diffraction line list of TeAsBr3F6 was computed for Cu Ka.

Crystal structure
Lattice parameters (Å, degrees): 8.177 10.407 12.647 90.00 99.90 90.00
Space group P2_1/c (No. 14)
Symmetry-distinct sites (fractional):
Te1 0.186 0.167 0.190 (multiplicity 4)
As1 0.164 0.732 0.578 (multiplicity 4)
Br1 0.236 0.108 0.751 (multiplicity 4)
Br2 0.305 0.053 0.357 (multiplicity 4)
Br3 0.427 0.150 0.096 (multiplicity 4)
F1 0.042 0.234 0.492 (multiplicity 4)
F2 0.091 0.575 0.609 (multiplicity 4)
F3 0.102 0.709 0.198 (multiplicity 4)
F4 0.213 0.670 0.457 (multiplicity 4)
F5 0.230 0.614 0.049 (multiplicity 4)
F6 0.362 0.693 0.649 (multiplicity 4)

Main lines, sorted by position (10 to 80 degrees two-theta):
- 13.90°, I = 34, hkl 1 1 0
- 16.44°, I = 35, hkl 1 0 -2
- 17.04°, I = 30, hkl 0 2 0
- 18.50°, I = 56, hkl 1 1 -2
- 21.26°, I = 100, hkl 1 1 2
- 22.07°, I = 48, hkl 2 0 0
- 23.75°, I = 45, hkl 1 2 -2
- 24.16°, I = 48, hkl 2 0 -2
- 25.97°, I = 34, hkl 1 2 2
- 26.67°, I = 33, hkl 0 3 1
- 28.00°, I = 40, hkl 1 3 0
- 45.96°, I = 30, hkl 0 5 2

Starting from the PBE geometry in the Materials Project, the powder diffraction line list of NaLi2AlF6 was computed for Cu Ka.

Crystal structure
Lattice parameters (Å, degrees): 7.923 7.923 7.923 90.00 90.00 90.00
Space group Fm-3m (No. 225)
Symmetry-distinct sites (fractional):
Na1 0.000 0.000 0.000 (multiplicity 4)
Li1 0.250 0.250 0.250 (multiplicity 8)
Al1 0.000 0.000 0.500 (multiplicity 4)
F1 0.000 0.000 0.271 (multiplicity 24)

Main lines, sorted by position (10 to 80 degrees two-theta):
- 19.40°, I = 11, hkl 1 1 1
- 22.44°, I = 100, hkl 2 0 0
- 31.95°, I = 7, hkl 2 2 0
- 39.40°, I = 21, hkl 2 2 2
- 45.81°, I = 56, hkl 4 0 0
- 50.19°, I = 3, hkl 3 3 1
- 51.59°, I = 29, hkl 4 2 0
- 56.94°, I = 2, hkl 4 2 2
- 60.74°, I = 5, hkl 3 3 3
- 66.79°, I = 27, hkl 4 4 0
- 71.44°, I = 11, hkl 6 0 0
- 75.96°, I = 3, hkl 6 2 0

> Which formula does entry 2 have?

NaLi2AlF6

What did the first record say?
Starting from the PBE geometry in the Materials Project, the powder diffraction line list of TeAsBr3F6 was computed for Cu Ka.

Crystal structure
Lattice parameters (Å, degrees): 8.177 10.407 12.647 90.00 99.90 90.00
Space group P2_1/c (No. 14)
Symmetry-distinct sites (fractional):
Te1 0.186 0.167 0.190 (multiplicity 4)
As1 0.164 0.732 0.578 (multiplicity 4)
Br1 0.236 0.108 0.751 (multiplicity 4)
Br2 0.305 0.053 0.357 (multiplicity 4)
Br3 0.427 0.150 0.096 (multiplicity 4)
F1 0.042 0.234 0.492 (multiplicity 4)
F2 0.091 0.575 0.609 (multiplicity 4)
F3 0.102 0.709 0.198 (multiplicity 4)
F4 0.213 0.670 0.457 (multiplicity 4)
F5 0.230 0.614 0.049 (multiplicity 4)
F6 0.362 0.693 0.649 (multiplicity 4)

Main lines, sorted by position (10 to 80 degrees two-theta):
- 13.90°, I = 34, hkl 1 1 0
- 16.44°, I = 35, hkl 1 0 -2
- 17.04°, I = 30, hkl 0 2 0
- 18.50°, I = 56, hkl 1 1 -2
- 21.26°, I = 100, hkl 1 1 2
- 22.07°, I = 48, hkl 2 0 0
- 23.75°, I = 45, hkl 1 2 -2
- 24.16°, I = 48, hkl 2 0 -2
- 25.97°, I = 34, hkl 1 2 2
- 26.67°, I = 33, hkl 0 3 1
- 28.00°, I = 40, hkl 1 3 0
- 45.96°, I = 30, hkl 0 5 2

Repeat the first record exactly.
Starting from the PBE geometry in the Materials Project, the powder diffraction line list of TeAsBr3F6 was computed for Cu Ka.

Crystal structure
Lattice parameters (Å, degrees): 8.177 10.407 12.647 90.00 99.90 90.00
Space group P2_1/c (No. 14)
Symmetry-distinct sites (fractional):
Te1 0.186 0.167 0.190 (multiplicity 4)
As1 0.164 0.732 0.578 (multiplicity 4)
Br1 0.236 0.108 0.751 (multiplicity 4)
Br2 0.305 0.053 0.357 (multiplicity 4)
Br3 0.427 0.150 0.096 (multiplicity 4)
F1 0.042 0.234 0.492 (multiplicity 4)
F2 0.091 0.575 0.609 (multiplicity 4)
F3 0.102 0.709 0.198 (multiplicity 4)
F4 0.213 0.670 0.457 (multiplicity 4)
F5 0.230 0.614 0.049 (multiplicity 4)
F6 0.362 0.693 0.649 (multiplicity 4)

Main lines, sorted by position (10 to 80 degrees two-theta):
- 13.90°, I = 34, hkl 1 1 0
- 16.44°, I = 35, hkl 1 0 -2
- 17.04°, I = 30, hkl 0 2 0
- 18.50°, I = 56, hkl 1 1 -2
- 21.26°, I = 100, hkl 1 1 2
- 22.07°, I = 48, hkl 2 0 0
- 23.75°, I = 45, hkl 1 2 -2
- 24.16°, I = 48, hkl 2 0 -2
- 25.97°, I = 34, hkl 1 2 2
- 26.67°, I = 33, hkl 0 3 1
- 28.00°, I = 40, hkl 1 3 0
- 45.96°, I = 30, hkl 0 5 2